Record 1
The following is a computed X-ray powder pattern of Tb2Zn5Ni5. It was derived from the GGA-PBE geometry in OQMD, using copper Kα.

Largest 10 diffraction maxima, by angle, 2θ = 10–90°:
29.95 deg, rel. 789; 35.42 deg, rel. 308; 40.93 deg, rel. 404; 41.22 deg, rel. 183; 41.81 deg, rel. 528; 42.03 deg, rel. 1000; 44.65 deg, rel. 412; 62.16 deg, rel. 228; 67.80 deg, rel. 230; 74.94 deg, rel. 162

Atomic structure:
Unit cell a=4.0589 b=5.1042 c=8.7597 alpha=90.00 beta=90.00 gamma=90.00
Fractional positions:
1 Tb 0.0000 0.0000 0.0000
2 Tb 0.0000 0.5000 0.5000
3 Zn 0.5000 0.0000 0.5000
4 Zn 0.5000 0.2521 0.2440
5 Zn 0.5000 0.2521 0.7560
6 Zn 0.5000 0.7479 0.2440
7 Zn 0.5000 0.7479 0.7560
8 Ni 0.0000 0.0000 0.3328
9 Ni 0.0000 0.0000 0.6672
10 Ni 0.0000 0.5000 0.1609
11 Ni 0.0000 0.5000 0.8391
12 Ni 0.5000 0.5000 0.0000

---

Record 2
The following is a computed X-ray powder pattern of NaPtAuSe2S. It was derived from the GGA-PBE geometry in OQMD, using copper Kα.

Largest 10 diffraction maxima, by angle, 2θ = 10–90°:
12.30 deg, rel. 690; 15.14 deg, rel. 621; 21.57 deg, rel. 458; 30.09 deg, rel. 1000; 30.22 deg, rel. 277; 35.74 deg, rel. 491; 39.34 deg, rel. 355; 47.40 deg, rel. 564; 48.13 deg, rel. 251; 54.19 deg, rel. 306

Atomic structure:
Unit cell a=7.4399 b=7.4399 c=10.0493 alpha=90.00 beta=90.00 gamma=150.56
Fractional positions:
1 Na 0.2018 0.7982 0.7500
2 Na 0.7982 0.2018 0.2500
3 Pt 0.5000 0.5000 0.0000
4 Pt 0.5000 0.5000 0.5000
5 Au 0.1323 0.8677 0.2500
6 Au 0.8677 0.1323 0.7500
7 Se 0.1165 0.8835 0.0101
8 Se 0.1165 0.8835 0.4899
9 Se 0.8835 0.1165 0.5101
10 Se 0.8835 0.1165 0.9899
11 S 0.4526 0.5474 0.2500
12 S 0.5474 0.4526 0.7500